[1]
Starting from a DFT-relaxed cell (PBE, Alexandria), the powder X-ray diffraction pattern of Ga2CoAg was calculated for a wavelength of 1.5418 Å.
Peak positions follow from Bragg's law for the DFT cell and can differ from measured ones.

Peak list (10 most intense, 2θ from 15° to 90°, in order of rising 2θ)
d_spacing  I_rel
3.333  32.4
3.090  21.9
2.473  48.1
2.195  100.0
1.979  85.2
1.545  10.7
1.470  26.2
1.239  17.3
1.180  24.8
1.142  13.3

```
Ga2CoAg
1.0
1.979 1.142 4.765
-1.979 1.142 4.765
0.000 -2.285 4.765
Ga Co Ag
2 1 1
Cartesian
0.000 0.000 0.000
0.000 0.000 3.069
0.000 0.000 8.462
0.000 0.000 11.164
```

[2]
Starting from a DFT-relaxed cell (PBE, Alexandria), the powder X-ray diffraction pattern of Ga8Co2Ag was calculated for a wavelength of 1.5418 Å.
Peak positions follow from Bragg's law for the DFT cell and can differ from measured ones.

Peak list (10 most intense, 2θ from 15° to 90°, in order of rising 2θ)
d_spacing  I_rel
3.358  28.4
2.761  100.0
2.388  96.1
2.143  64.3
2.114  55.0
2.103  61.0
2.089  75.3
2.057  38.4
1.679  35.9
1.312  21.9

```
Ga8Co2Ag
1.0
5.642 -3.358 0.000
5.642 3.358 0.000
-0.790 0.000 4.849
Ga Co Ag
8 2 1
Cartesian
0.625 0.000 1.676
4.356 1.825 0.478
2.743 0.000 3.273
6.137 1.825 4.371
4.356 -1.825 0.478
7.751 0.000 1.576
6.137 -1.825 4.371
9.868 0.000 3.173
2.872 0.000 0.801
7.621 0.000 4.048
5.247 0.000 2.425
```